No. 1
Starting from a DFT-relaxed cell (PBE, Alexandria), the X-ray diffraction stick pattern of LaPr3Y8 was calculated for a wavelength of 1.5418 Å.

Structural model:
Cell: 10.239 10.265 8.073 Å, 90.00 108.40 90.00°
Space group Cm (No. 8)
Symmetry-distinct sites (fractional):
La  0.000  0.000  0.000
Pr  0.165  0.500  0.661
Pr  0.249  0.251  0.997
Y  0.083  0.250  0.332
Y  0.166  0.000  0.663
Y  0.332  0.500  0.331
Y  0.333  0.000  0.333
Y  0.415  0.249  0.661
Y  0.499  0.000  0.996

Principal peaks in the range 10° ≤ 2θ ≤ 90°, in order of rising 2θ:
- 2θ = 30.2°, I = 100
- 2θ = 35.0°, I = 34
- 2θ = 35.1°, I = 17
- 2θ = 50.4°, I = 29
- 2θ = 59.8°, I = 14
- 2θ = 59.9°, I = 14
- 2θ = 60.0°, I = 14
- 2θ = 62.9°, I = 12

No. 2
Starting from a DFT-relaxed cell (PBE, Alexandria), the X-ray diffraction stick pattern of K2Na4Hg was calculated for a wavelength of 1.5418 Å.

Structural model:
Cell: 6.976 16.317 9.821 Å, 90.00 90.00 90.00°
Space group Pbca (No. 61)
Symmetry-distinct sites (fractional):
K  0.002  0.086  0.135
Na  0.001  0.205  0.460
Na  0.249  0.125  0.750
Hg  0.000  0.000  0.500

Principal peaks in the range 10° ≤ 2θ ≤ 90°, in order of rising 2θ:
- 2θ = 10.8°, I = 91
- 2θ = 16.5°, I = 100
- 2θ = 22.6°, I = 50
- 2θ = 25.5°, I = 28
- 2θ = 28.4°, I = 39
- 2θ = 30.7°, I = 63
- 2θ = 31.5°, I = 32
- 2θ = 31.6°, I = 71